# 1
Theoretical powder diffraction line list of Tb5Sc7 for λ = 1.5418 Å (Cu Kα), from a crystal structure in Alexandria, relaxed with GGA-PBE.
Intensities are scaled so that the largest is 100.

Structure:
```
Tb5Sc7
1.0
2.6743 1.5440 13.4941
-2.6743 1.5440 13.4941
0.0000 -3.0880 13.4941
Tb Sc
5 7
Cartesian
0.0000 0.0000 0.0000
0.0000 0.0000 5.8533
0.0000 0.0000 16.1779
0.0000 0.0000 24.3044
0.0000 0.0000 34.6291
0.0000 0.0000 2.8915
0.0000 0.0000 9.1108
0.0000 0.0000 12.3485
0.0000 0.0000 20.2412
0.0000 0.0000 28.1338
0.0000 0.0000 31.3715
0.0000 0.0000 37.5908
```

Peak list (8 most intense, 5 to 70 degrees two-theta, most intense first)
d (Å), I/Imax
2.674, 100
2.584, 36
3.615, 30
2.881, 28
1.525, 21
4.021, 20
3.417, 18
1.544, 18


# 2
Theoretical powder diffraction line list of Tb6Sc5 for λ = 1.5418 Å (Cu Kα), from a crystal structure in Alexandria, relaxed with GGA-PBE.
Intensities are scaled so that the largest is 100.

Structure:
```
Tb6Sc5
1.0
4.8496 -6.3219 0.0000
4.8496 6.3219 0.0000
-2.3492 0.0000 5.2174
Tb Sc
6 5
Cartesian
0.3454 1.8342 3.3121
1.5223 0.0000 0.6477
0.3454 -1.8342 3.3121
7.0047 1.8342 1.9052
5.8278 0.0000 4.5697
7.0047 -1.8342 1.9052
4.8496 3.3548 0.0000
3.6750 1.5968 2.6087
4.8496 0.0000 0.0000
3.6750 -1.5968 2.6087
4.8496 -3.3548 0.0000
```

Peak list (8 most intense, 5 to 70 degrees two-theta, most intense first)
d (Å), I/Imax
3.371, 100
2.542, 88
2.703, 75
2.871, 75
2.807, 56
2.845, 43
4.422, 39
2.227, 38


# 3
Theoretical powder diffraction line list of TbSc for λ = 1.5418 Å (Cu Kα), from a crystal structure in Alexandria, relaxed with GGA-PBE.
Intensities are scaled so that the largest is 100.

Structure:
```
TbSc
1.0
3.4888 0.0000 0.0000
0.0000 5.4257 0.0000
0.0000 0.0000 5.9886
Tb Sc
2 2
Cartesian
0.8722 1.3564 0.5215
2.6166 4.0693 5.4671
0.8722 4.0693 2.5026
2.6166 1.3564 3.4860
```

Peak list (8 most intense, 5 to 70 degrees two-theta, most intense first)
d (Å), I/Imax
2.635, 100
5.989, 53
2.622, 52
2.713, 37
2.934, 28
3.015, 26
1.460, 21
1.733, 21


# 4
Theoretical powder diffraction line list of Tb4Sc3 for λ = 1.5418 Å (Cu Kα), from a crystal structure in Alexandria, relaxed with GGA-PBE.
Intensities are scaled so that the largest is 100.

Structure:
```
Tb4Sc3
1.0
-1.7311 2.3855 12.1131
1.7311 -2.3855 12.1131
1.7311 2.3855 -12.1131
Tb Sc
4 3
Cartesian
0.0000 0.0000 1.7081
0.0000 0.0000 5.1318
0.0000 0.0000 19.0944
0.0000 0.0000 22.5180
0.0000 0.0000 8.6787
0.0000 0.0000 12.1131
0.0000 0.0000 15.5474
```

Peak list (8 most intense, 5 to 70 degrees two-theta, most intense first)
d (Å), I/Imax
2.802, 100
2.448, 34
1.472, 27
1.708, 23
4.681, 20
2.386, 16
1.445, 13
1.731, 12


# 5
Theoretical powder diffraction line list of Tb2Sc7 for λ = 1.5418 Å (Cu Kα), from a crystal structure in Alexandria, relaxed with GGA-PBE.
Intensities are scaled so that the largest is 100.

Structure:
```
Tb2Sc7
1.0
5.7613 0.0000 0.0000
-2.8807 4.9895 0.0000
0.0000 0.0000 8.1256
Tb Sc
2 7
Cartesian
0.0000 3.3263 0.0000
2.8807 1.6631 0.0000
0.0000 0.0000 0.0000
-0.9530 1.6506 5.3640
-1.9277 3.3389 2.7616
1.9059 0.0000 5.3640
0.9530 1.6506 2.7616
3.8554 0.0000 2.7616
1.9277 3.3389 5.3640
```

Peak list (8 most intense, 5 to 70 degrees two-theta, most intense first)
d (Å), I/Imax
2.714, 100
2.350, 50
8.126, 33
1.418, 26
1.660, 17
1.663, 15
4.252, 14
2.881, 10


# 6
Theoretical powder diffraction line list of Tb5Sc for λ = 1.5418 Å (Cu Kα), from a crystal structure in Alexandria, relaxed with GGA-PBE.
Intensities are scaled so that the largest is 100.

Structure:
```
Tb5Sc
1.0
3.0440 -5.2627 0.0000
3.0440 5.2627 0.0000
-2.0362 0.0000 5.7271
Tb Sc
5 1
Cartesian
0.0000 0.0000 0.0000
2.0259 3.5053 2.8635
3.0440 1.7308 0.0000
3.0440 -1.7308 0.0000
2.0259 -3.5053 2.8635
2.0259 0.0000 2.8635
```

Peak list (8 most intense, 5 to 70 degrees two-theta, most intense first)
d (Å), I/Imax
2.866, 100
2.482, 50
1.755, 36
1.496, 28
1.498, 14
1.433, 9
5.037, 3
1.432, 3